# Ho3TmS3
Calculated powder X-ray diffraction pattern, Cu Kα. Input: a crystal structure in Alexandria, relaxed with GGA-PBE.
Kinematic intensities with the Lorentz-polarization factor, no thermal factor.

```
data_Ho3TmS3
_space_group_name_H-M_alt 'P 42/m n m'
_space_group_IT_number 136
_space_group_name_Hall '-P 4n 2n'
_cell_length_a 10.842
_cell_length_b 10.842
_cell_length_c 5.430
_cell_angle_alpha 90.00
_cell_angle_beta 90.00
_cell_angle_gamma 90.00
loop_
_atom_site_label
_atom_site_type_symbol
_atom_site_fract_x
_atom_site_fract_y
_atom_site_fract_z
_atom_site_occupancy
Ho1 Ho 0.121 0.373 0.000 1
Ho2 Ho 0.126 0.126 0.500 1
Tm1 Tm 0.122 0.878 0.000 1
S1 S 0.124 0.124 0.000 1
S2 S 0.126 0.628 0.000 1
```

Principal peaks in the range 2θ from 5° to 70°, sorted by position:
2θ (°)	I_rel
18.28	2
28.50	100
33.03	96
45.02	1
47.41	69
56.25	47
56.96	1
58.99	24
69.21	4
69.34	7